No. 1
Starting from a cell relaxed with PBE+U, the powder X-ray diffraction pattern of CaBMoO5 was simulated for Cu Kα, 1.54184 Å.
Peak positions follow from Bragg's law for the DFT cell and can differ from measured ones.

Cell and atoms:
```
CaBMoO5
1.0
3.221 -4.245 0.000
3.221 4.245 0.000
-2.987 0.000 6.590
Ca B Mo O
2 2 2 10
direct
0.158 0.842 0.750
0.842 0.158 0.250
0.187 0.813 0.250
0.813 0.187 0.750
0.500 0.500 0.000
0.500 0.500 0.500
0.103 0.254 0.895
0.186 0.620 0.369
0.254 0.103 0.395
0.380 0.814 0.131
0.421 0.579 0.750
0.579 0.421 0.250
0.620 0.186 0.869
0.746 0.897 0.605
0.814 0.380 0.631
0.897 0.746 0.105
```

Largest 10 diffraction maxima, sorted by position, 2θ from 10° to 90°:
2θ/deg, d [Å], I_rel
18.38, 4.827, 82
20.92, 4.245, 25
27.09, 3.291, 100
30.47, 2.933, 47
34.46, 2.603, 38
35.21, 2.549, 44
37.96, 2.370, 21
44.31, 2.044, 18
51.18, 1.785, 25
53.83, 1.703, 18

No. 2
Starting from a cell relaxed with PBE+U, the powder X-ray diffraction pattern of CaBMoO4 was simulated for Cu Kα, 1.54184 Å.
Peak positions follow from Bragg's law for the DFT cell and can differ from measured ones.

Cell and atoms:
```
CaBMoO4
1.0
2.607 -4.286 0.000
2.607 4.286 0.000
0.000 0.000 6.801
Ca B Mo O
2 2 2 8
direct
0.183 0.817 0.750
0.817 0.183 0.250
0.166 0.834 0.250
0.834 0.166 0.750
0.500 0.500 0.000
0.500 0.500 0.500
0.186 0.292 0.750
0.259 0.741 0.075
0.259 0.741 0.425
0.292 0.186 0.250
0.708 0.814 0.750
0.741 0.259 0.575
0.741 0.259 0.925
0.814 0.708 0.250
```

Largest 10 diffraction maxima, sorted by position, 2θ from 10° to 90°:
2θ/deg, d [Å], I_rel
19.93, 4.455, 68
20.72, 4.286, 18
33.14, 2.703, 100
33.64, 2.664, 23
34.40, 2.607, 33
35.84, 2.506, 52
44.89, 2.019, 17
48.88, 1.863, 39
63.31, 1.469, 19
66.45, 1.407, 17